Simulated XRD peak list
Compound: TaCr2PbO8
Radiation: Cu Kα (weighted mean of Kα1 and Kα2)
Structure: DFT lattice parameters and positions (GGA+U)
Neutral-atom scattering factors, no anomalous dispersion.

Most intense lines, 2θ from 10° to 80°, in order of rising 2θ:
- hkl 1 1 0, 2θ = 18.80°, I 72.7
- hkl 0 2 0, 2θ = 26.56°, I 60.2
- hkl 2 0 0, 2θ = 26.86°, I 60.9
- hkl 1 1 2, 2θ = 33.97°, I 100.0
- hkl 2 2 0, 2θ = 38.13°, I 28.2
- hkl 0 2 2, 2θ = 39.00°, I 26.8
- hkl 3 1 0, 2θ = 43.04°, I 16.5
- hkl 1 3 2, 2θ = 51.81°, I 39.2
- hkl 3 1 2, 2θ = 52.16°, I 41.2
- hkl 3 3 2, 2θ = 66.26°, I 23.5

Structural model:
```
data_TaCr2PbO8
_chemical_formula_sum 'Ta2 Cr4 Pb2 O16'
_symmetry_space_group_name_H-M 'C m m m'
_symmetry_Int_Tables_number 65
_symmetry_space_group_name_Hall '-C 2 2'
_cell_length_a 6.638
_cell_length_b 6.713
_cell_length_c 6.366
_cell_angle_alpha 90.00
_cell_angle_beta 90.00
_cell_angle_gamma 90.00
loop_
_atom_site_label
_atom_site_type_symbol
_atom_site_fract_x
_atom_site_fract_y
_atom_site_fract_z
_atom_site_occupancy
Ta1 Ta 0.000 0.000 0.000 1
Cr1 Cr 0.000 0.500 0.243 1
Pb1 Pb 0.000 0.000 0.500 1
O1 O 0.000 0.204 0.226 1
O2 O 0.179 0.500 0.500 1
O3 O 0.193 0.500 0.000 1
```